No. 1
Structure and theoretical XRD peak list of Sr3La2FeCo4O15 (a crystal structure in Alexandria, relaxed with GGA+U; CuKα).

Top 10 peaks for 2θ from 10° to 90°, sorted by position:
d 2.738, I = 100
d 2.728, I = 99
d 2.234, I = 21
d 1.932, I = 70
d 1.579, I = 56
d 1.573, I = 18
d 1.369, I = 20
d 1.364, I = 20
d 1.223, I = 16
d 1.221, I = 16

Crystal structure
```
25
Lattice="2.7378 1.5806 11.1151 -2.7378 1.5806 11.1151 0.0000 -3.1613 11.1151" Properties=species:S:1:pos:R:3 pbc="T T T"
Sr 0.0000 0.0000 0.0000
Sr 0.0000 0.0000 6.6070
Sr 0.0000 0.0000 26.6356
La 0.0000 0.0000 13.3468
La 0.0000 0.0000 19.9906
Fe 0.0000 0.0000 29.9479
Co 0.0000 0.0000 3.3406
Co 0.0000 0.0000 10.0110
Co 0.0000 0.0000 16.6365
Co 0.0000 0.0000 23.3262
O 0.0000 -1.5679 8.8798
O -1.3578 0.7839 8.8798
O -1.3183 -0.7611 17.7694
O 0.0000 -1.5243 15.4825
O -1.3201 0.7621 15.4825
O -1.3539 -0.7817 24.4169
O 0.0000 -1.5598 22.1888
O -1.3508 0.7799 22.1888
O 1.3578 0.7839 8.8799
O 1.3183 -0.7611 17.7694
O 0.0000 1.5223 17.7694
O 1.3201 0.7621 15.4825
O 1.3539 -0.7817 24.4169
O 0.0000 1.5633 24.4169
O 1.3508 0.7799 22.1888
```


No. 2
Structure and theoretical XRD peak list of Sr2La2FeCoO8 (a crystal structure in Alexandria, relaxed with GGA+U; CuKα).

Top 10 peaks for 2θ from 10° to 90°, sorted by position:
d 3.686, I = 16
d 2.842, I = 100
d 2.726, I = 73
d 2.111, I = 18
d 2.103, I = 12
d 2.062, I = 30
d 1.927, I = 38
d 1.665, I = 13
d 1.595, I = 36
d 1.421, I = 12

Crystal structure
```
14
Lattice="5.4521 0.0000 0.0000 0.0000 2.7253 6.3086 0.0000 -2.7253 6.3086" Properties=species:S:1:pos:R:3 pbc="T T T"
Sr 0.0000 0.0000 0.0000
Sr 2.7261 0.0000 2.6867
La 0.0000 0.0000 9.0868
La 2.7261 0.0000 6.2594
Fe 2.7261 0.0000 10.8299
Co 0.0000 0.0000 4.4071
O 0.0000 0.0000 2.4700
O 0.0000 0.0000 6.7530
O 1.3763 -1.3716 4.5184
O 1.3763 1.3716 4.5184
O 2.7261 0.0000 0.2389
O 2.7261 0.0000 8.6602
O 4.0758 -1.3716 4.5184
O 4.0758 1.3716 4.5184
```


No. 3
Structure and theoretical XRD peak list of Sr2La3FeCo4O15 (a crystal structure in Alexandria, relaxed with GGA+U; CuKα).

Top 10 peaks for 2θ from 10° to 90°, sorted by position:
d 3.870, I = 6
d 2.737, I = 100
d 2.235, I = 15
d 1.935, I = 34
d 1.581, I = 28
d 1.578, I = 9
d 1.369, I = 10
d 1.367, I = 10
d 1.224, I = 16
d 1.118, I = 5

Crystal structure
```
25
Lattice="2.7388 1.5813 11.1559 -2.7388 1.5813 11.1559 0.0000 -3.1625 11.1559" Properties=species:S:1:pos:R:3 pbc="T T T"
Sr 0.0000 0.0000 0.0000
Sr 0.0000 0.0000 6.7053
La 0.0000 0.0000 13.3960
La 0.0000 0.0000 20.0449
La 0.0000 0.0000 26.7998
Fe 0.0000 0.0000 10.0546
Co 0.0000 0.0000 3.3552
Co 0.0000 0.0000 16.7422
Co 0.0000 0.0000 23.4437
Co 0.0000 0.0000 30.1309
O 0.0000 -1.5877 8.9088
O -1.3750 0.7938 8.9088
O -1.3392 -0.7732 17.8357
O 0.0000 -1.5283 15.5906
O -1.3236 0.7642 15.5906
O -1.3149 -0.7591 24.5996
O 0.0000 -1.5435 22.3801
O -1.3367 0.7718 22.3801
O 1.3750 0.7938 8.9088
O 1.3392 -0.7732 17.8356
O 0.0000 1.5464 17.8356
O 1.3235 0.7642 15.5906
O 1.3149 -0.7591 24.5996
O 0.0000 1.5183 24.5996
O 1.3367 0.7718 22.3801
```